# MnCrIrO6
Theoretical X-ray diffraction stick pattern, λ = 1.5418 Å (Cu Kα). Input: a cell relaxed with GGA+U.

Structural model:
```
data_MnCrIrO6
_chemical_formula_sum 'Mn2 Cr2 Ir2 O12'
_cell_length_a 5.0607
_cell_length_b 5.0607
_cell_length_c 8.9064
_cell_angle_alpha 90.00
_cell_angle_beta 90.00
_cell_angle_gamma 120.00
_symmetry_space_group_name_H-M 'P -3 1 c'
_symmetry_Int_Tables_number 163
_symmetry_space_group_name_Hall '-P 3 2c'
loop_
_atom_site_label
_atom_site_fract_x
_atom_site_fract_y
_atom_site_fract_z
Mn1 0.0000 0.0000 0.0000
Cr1 0.3333 0.6667 0.2500
Ir1 0.3333 0.6667 0.7500
O1 0.0044 0.3530 0.6293
```

The 10 most intense peaks (2θ = 10–80°), in order of rising 2θ:
2θ (°), I (rel.), index
19.94, 46, 0 0 2
22.61, 74, 1 0 1
28.58, 100, 1 0 2
35.48, 55, 1 1 0
36.56, 22, 1 0 3
41.03, 48, 1 1 2
46.17, 26, 2 0 2
54.93, 57, 1 1 4
59.54, 24, 2 1 2
63.70, 22, 3 0 0